No. 1
Starting from DFT lattice parameters and positions (PBE), the XRD peak list of LaPm2DyTm was simulated for Cu Kα.

Main lines, sorted by position (10 to 80 degrees two-theta):
21.33°, intensity 37; 27.25°, intensity 32; 30.35°, intensity 38; 31.49°, intensity 27; 31.84°, intensity 31; 32.70°, intensity 72; 33.37°, intensity 100; 34.98°, intensity 30; 35.35°, intensity 29; 51.55°, intensity 27

Lattice parameters (Å, degrees): 8.413 6.273 6.773 90.00 98.02 90.00
Fractional coordinates of all 10 atoms:
La: 0.000 0.000 0.000
La: 0.000 0.000 0.500
Pm: 0.330 0.381 0.114
Pm: 0.330 0.619 0.614
Pm: 0.670 0.381 0.386
Pm: 0.670 0.619 0.886
Dy: 0.000 0.470 0.750
Dy: 0.000 0.530 0.250
Tm: 0.500 0.116 0.750
Tm: 0.500 0.884 0.250

---

No. 2
Starting from DFT lattice parameters and positions (PBE), the XRD peak list of La2PmDy2Y6 was simulated for Cu Kα.

Main lines, sorted by position (10 to 80 degrees two-theta):
30.57°, intensity 34; 30.76°, intensity 42; 31.11°, intensity 45; 31.91°, intensity 100; 34.09°, intensity 17; 44.18°, intensity 24; 52.90°, intensity 14; 55.87°, intensity 26; 61.67°, intensity 19; 62.66°, intensity 17

Lattice parameters (Å, degrees): 6.733 6.733 10.519 90.00 90.00 129.45
Fractional coordinates of all 11 atoms:
La: 0.212 0.788 0.000
La: 0.788 0.212 0.000
Pm: 0.500 0.500 0.000
Dy: 0.130 0.870 0.500
Dy: 0.870 0.130 0.500
Y: 0.000 0.000 0.208
Y: 0.000 0.000 0.792
Y: 0.350 0.650 0.306
Y: 0.350 0.650 0.694
Y: 0.650 0.350 0.306
Y: 0.650 0.350 0.694

---

No. 3
Starting from DFT lattice parameters and positions (PBE), the XRD peak list of LaPmDyY2 was simulated for Cu Kα.

Main lines, sorted by position (10 to 80 degrees two-theta):
20.37°, intensity 27; 25.85°, intensity 18; 31.04°, intensity 100; 31.81°, intensity 34; 32.07°, intensity 14; 34.74°, intensity 16; 35.92°, intensity 18; 38.07°, intensity 11; 56.20°, intensity 19; 61.21°, intensity 19

Lattice parameters (Å, degrees): 3.633 5.626 8.720 90.00 90.00 90.00
Fractional coordinates of all 5 atoms:
La: 0.000 0.000 0.000
Pm: 0.500 0.000 0.500
Dy: 0.500 0.500 0.000
Y: 0.000 0.500 0.318
Y: 0.000 0.500 0.682